CoRhPb2O6: theoretical powder X-ray diffraction pattern (CuKα), based on a PBE+U-relaxed structure.
Neutral-atom scattering factors, no anomalous dispersion.

```
data_CoRhPb2O6
_chemical_formula_sum 'Co1 Rh1 Pb2 O6'
_cell_length_a 5.481
_cell_length_b 5.481
_cell_length_c 4.735
_cell_angle_alpha 90.00
_cell_angle_beta 90.00
_cell_angle_gamma 90.00
_symmetry_space_group_name_H-M 'P 4 m m'
_symmetry_Int_Tables_number 99
loop_
_symmetry_equiv_pos_as_xyz
'x,y,z'
'-y,x,z'
'-x,-y,z'
'y,-x,z'
'-x,y,z'
'y,x,z'
'x,-y,z'
'-y,-x,z'
loop_
_atom_site_label
_atom_site_type_symbol
_atom_site_fract_x
_atom_site_fract_y
_atom_site_fract_z
Co1 Co 0.000 0.000 0.000
Rh1 Rh 0.500 0.500 0.036
Pb1 Pb 0.000 0.500 0.455
O1 O 0.000 0.000 0.636
O2 O 0.251 0.251 0.138
O3 O 0.500 0.500 0.648
```

Principal peaks in the range 2θ from 10° to 80°, by angle:
- hkl 0 0 1, 18.7 deg, I = 16
- hkl 1 1 0, 22.9 deg, I = 12
- hkl 1 1 1, 29.8 deg, I = 100
- hkl 2 0 0, 32.7 deg, I = 39
- hkl 0 0 2, 38.0 deg, I = 26
- hkl 1 1 2, 44.9 deg, I = 14
- hkl 2 2 0, 46.9 deg, I = 21
- hkl 2 0 2, 51.0 deg, I = 28
- hkl 3 1 1, 56.5 deg, I = 34
- hkl 2 2 2, 61.9 deg, I = 10